1.
Theoretical X-ray powder pattern of TlIr2OsRu for copper Kα, from a PBE-relaxed structure.
No peak broadening, texture or thermal motion is included.

Structure:
abc: 4.774 4.774 4.674
angles: 90.00 90.00 90.00
Space group P4/mmm (No. 123)
Symmetry-distinct sites (fractional):
Tl (0.000, 0.000, 0.000) [1 per cell]
Ir (0.000, 0.500, 0.500) [2 per cell]
Os (0.500, 0.500, 0.000) [1 per cell]
Ru (0.500, 0.500, 0.500) [1 per cell]

Peak list (8 most intense, 5° ≤ 2θ ≤ 70°, in order of rising 2θ)
2theta	I/Imax	hkl
32.73	100	1 1 1
37.69	59	2 0 0
38.53	28	0 0 2
54.36	21	2 2 0
54.99	40	2 0 2
64.92	29	3 1 1
66.05	14	1 1 3
68.59	21	2 2 2


2.
Theoretical X-ray powder pattern of Ir2OsRu4W for copper Kα, from a PBE-relaxed structure.
No peak broadening, texture or thermal motion is included.

Structure:
abc: 9.459 5.468 9.444
angles: 90.00 109.43 90.00
Space group C2/m (No. 12)
Symmetry-distinct sites (fractional):
Ir (0.000, 0.000, 0.000) [2 per cell]
Ir (0.000, 0.000, 0.500) [2 per cell]
Ir (0.250, 0.250, 0.000) [4 per cell]
Os (0.250, 0.250, 0.500) [4 per cell]
Ru (0.002, 0.251, 0.250) [8 per cell]
Ru (0.248, 0.500, 0.252) [4 per cell]
Ru (0.250, 0.000, 0.253) [4 per cell]
W (0.000, 0.500, 0.000) [2 per cell]
W (0.000, 0.500, 0.500) [2 per cell]

Peak list (8 most intense, 5° ≤ 2θ ≤ 70°, in order of rising 2θ)
2theta	I/Imax	hkl
19.94	12	0 0 2
38.64	7	4 0 -2
40.46	100	4 0 0
47.07	49	2 2 2
51.59	3	4 0 2
62.54	3	4 0 -6
68.71	16	0 4 0
68.81	16	4 0 4